Simulated PXRD pattern of Hg2PIrC for a wavelength of 1.5418 Å, from DFT lattice parameters and positions (PBE).
Neutral-atom scattering factors, no anomalous dispersion.

Structure:
```
data_Hg2PIrC
_chemical_formula_sum 'Hg2 P1 Ir1 C1'
_cell_length_a 2.8633
_cell_length_b 4.8331
_cell_length_c 7.8323
_cell_angle_alpha 76.64
_cell_angle_beta 79.51
_cell_angle_gamma 89.97
_symmetry_space_group_name_H-M 'P 1'
_symmetry_Int_Tables_number 1
loop_
_symmetry_equiv_pos_as_xyz
'x,y,z'
loop_
_atom_site_label
_atom_site_fract_x
_atom_site_fract_y
_atom_site_fract_z
_atom_site_occupancy
Hg1 0.0000 0.0000 0.0000 1
Hg2 0.3892 0.4297 0.2097 1
P1 0.7324 0.8527 0.5272 1
Ir1 0.1887 0.2014 0.6151 1
C1 0.6902 0.4887 0.6116 1
```

Top 10 peaks for 5 to 70 degrees two-theta, sorted by position:
| Position (°2θ) | I/Imax |
| --- | --- |
| 18.89 | 30.9 |
| 19.81 | 45.2 |
| 23.77 | 28.4 |
| 31.82 | 20.8 |
| 33.95 | 40.6 |
| 36.53 | 100.0 |
| 37.33 | 29.8 |
| 43.74 | 37.2 |
| 57.03 | 22.7 |
| 60.60 | 13.4 |